Simulated XRD peak list
Compound: CaPmGePd
Radiation: λ = 1.5418 Å (Cu Kα)
Structure: a PBE-relaxed structure
No peak broadening, texture or thermal motion is included.

Structure:
a = 4.499 Å, b = 3.862 Å, c = 11.242 Å
α = 90.00°, β = 90.00°, γ = 90.00°
Space group Amm2 (No. 38)
Asymmetric unit:
Ca1 0.000 0.000 0.000
Pm1 0.500 0.000 0.716
Ge1 0.500 0.000 0.433
Pd1 0.000 0.000 0.287

Most intense lines, 10 to 90 degrees two-theta, by angle:
two_theta	I/Imax
15.77	45
31.55	100
31.84	19
33.32	30
37.74	37
39.02	70
40.08	29
47.07	18
61.84	18
77.02	17

=====

Simulated XRD peak list
Compound: BC5
Radiation: λ = 1.5418 Å (Cu Kα)
Structure: a PBE-relaxed structure
No peak broadening, texture or thermal motion is included.

Structure:
a = 4.469 Å, b = 7.743 Å, c = 4.422 Å
α = 90.00°, β = 109.03°, γ = 90.00°
Space group Cc (No. 9)
Asymmetric unit:
B1 0.000 0.082 0.000
C1 0.361 0.410 0.103
C2 0.365 0.244 0.617
C3 0.381 0.082 0.119
C4 0.496 0.249 0.992
C5 0.498 0.083 0.493

Most intense lines, 10 to 90 degrees two-theta, by angle:
two_theta	I/Imax
42.81	49
43.04	100
43.29	54
73.38	53
74.07	26
88.71	9
88.87	8
89.20	13
89.36	7
89.71	9